The following is a theoretical PXRD pattern of BaTc2Mo. It was derived from a structure optimized by DFT (GGA-PBE), using copper Kα.

Structural model:
```
BaTc2Mo
1.0
3.2262 0.0000 0.0000
0.0000 3.2262 0.0000
0.0000 0.0000 8.0159
Ba Tc Mo
1 2 1
direct
0.0000 0.0000 0.0000
0.5000 0.5000 0.3302
0.5000 0.5000 0.6698
0.0000 0.0000 0.5000
```

Largest 10 diffraction maxima, by angle, 5° ≤ 2θ ≤ 70°:
2theta  I_rel
11.0  16
29.9  24
33.5  14
35.7  100
39.5  62
44.0  14
52.8  16
53.9  26
57.1  20
69.2  28

---

The following is a theoretical PXRD pattern of BaTl4Mo. It was derived from a structure optimized by DFT (GGA-PBE), using copper Kα.

Structural model:
```
BaTl4Mo
1.0
0.0000 4.5242 4.5242
4.5242 0.0000 4.5242
4.5242 4.5242 0.0000
Ba Tl Mo
1 4 1
direct
0.0000 0.0000 0.0000
0.3761 0.3761 0.3761
0.3761 0.3761 0.8718
0.3761 0.8718 0.3761
0.8718 0.3761 0.3761
0.7500 0.7500 0.7500
```

Largest 10 diffraction maxima, by angle, 5° ≤ 2θ ≤ 70°:
2theta  I_rel
17.0  28
27.9  13
32.8  100
34.3  60
39.9  15
43.6  9
52.6  36
57.6  34
67.9  12
68.8  25

---

The following is a theoretical PXRD pattern of BaN. It was derived from a structure optimized by DFT (GGA-PBE), using copper Kα.

Structural model:
```
BaN
1.0
4.0791 -2.0549 0.0000
4.0791 2.0549 0.0000
-0.3285 0.0000 7.4325
Ba N
2 2
direct
0.1381 0.1381 0.2961
0.8619 0.8619 0.7039
0.4278 0.4278 0.4595
0.5722 0.5722 0.5405
```

Largest 10 diffraction maxima, by angle, 5° ≤ 2θ ≤ 70°:
2theta  I_rel
11.9  82
23.9  55
24.3  58
24.4  78
25.4  78
26.9  65
27.3  100
34.0  92
39.8  41
44.5  57

---

The following is a theoretical PXRD pattern of Ba3NaN. It was derived from a structure optimized by DFT (GGA-PBE), using copper Kα.

Structural model:
```
Ba3NaN
1.0
8.5204 0.0000 0.0000
-4.2602 7.3789 0.0000
0.0000 0.0000 7.0040
Ba Na N
6 2 2
direct
0.1439 0.2877 0.2500
0.1439 0.8561 0.2500
0.2877 0.1439 0.7500
0.7123 0.8561 0.2500
0.8561 0.1439 0.7500
0.8561 0.7123 0.7500
0.3333 0.6667 0.7500
0.6667 0.3333 0.2500
0.0000 0.0000 0.0000
0.0000 0.0000 0.5000
```

Largest 10 diffraction maxima, by angle, 5° ≤ 2θ ≤ 70°:
2theta  I_rel
12.0  55
24.1  19
25.4  29
27.3  100
34.6  21
35.3  19
42.4  15
46.0  24
50.1  16
54.2  16

---

The following is a theoretical PXRD pattern of BaNa3N8. It was derived from a structure optimized by DFT (GGA-PBE), using copper Kα.

Structural model:
```
BaNa3N8
1.0
0.0000 4.8040 4.1122
4.7900 0.0000 4.1122
4.7900 4.8040 0.0000
Ba Na N
1 3 8
direct
0.0000 0.0000 0.0000
0.2494 0.2494 0.2506
0.4992 0.4992 0.5008
0.7494 0.7494 0.7506
0.0904 0.5425 0.4575
0.0906 0.5421 0.9094
0.4548 0.9080 0.0920
0.4566 0.9073 0.5434
0.5425 0.0904 0.9096
0.5421 0.0906 0.4579
0.9073 0.4566 0.0927
0.9080 0.4548 0.5452
```

Largest 10 diffraction maxima, by angle, 5° ≤ 2θ ≤ 70°:
2theta  I_rel
16.9  82
18.5  41
28.6  100
31.4  48
34.3  46
35.3  21
37.4  26
37.6  26
47.8  49
52.0  20

---

The following is a theoretical PXRD pattern of Ba5Na2N. It was derived from a structure optimized by DFT (GGA-PBE), using copper Kα.

Structural model:
```
Ba5Na2N
1.0
7.6105 0.0000 0.0000
2.7411 7.7570 0.0000
0.3333 3.8453 7.2822
Ba Na N
5 2 1
direct
0.0000 0.0000 0.0000
0.0378 0.9869 0.5305
0.5059 0.2350 0.6453
0.5805 0.5763 0.0054
0.8740 0.5218 0.5170
0.1202 0.4562 0.0289
0.4974 0.0277 0.2331
0.8496 0.1933 0.6709
```

Largest 10 diffraction maxima, by angle, 5° ≤ 2θ ≤ 70°:
2theta  I_rel
20.9  32
21.6  33
24.5  100
25.0  38
25.5  31
25.7  36
26.0  36
26.1  31
27.9  34
44.1  34

---

The following is a theoretical PXRD pattern of Ba5Na4N. It was derived from a structure optimized by DFT (GGA-PBE), using copper Kα.

Structural model:
```
Ba5Na4N
1.0
-6.1264 6.1264 3.0436
6.1264 -6.1264 3.0436
6.1264 6.1264 -3.0436
Ba Na N
5 4 1
direct
0.0000 0.0000 0.0000
0.3226 0.3234 0.6845
0.3234 0.6389 0.0008
0.6380 0.3226 0.9992
0.6389 0.6380 0.3155
0.3282 0.9781 0.3509
0.6272 0.9773 0.6491
0.9773 0.3282 0.3501
0.9781 0.6272 0.6499
0.4393 0.4393 0.0000
```

Largest 10 diffraction maxima, by angle, 5° ≤ 2θ ≤ 70°:
2theta  I_rel
10.2  49
16.3  14
21.8  21
26.3  100
29.3  21
31.0  34
43.2  27
50.2  16
52.3  26
54.1  13

---

The following is a theoretical PXRD pattern of BaNaNbN3. It was derived from a structure optimized by DFT (GGA-PBE), using copper Kα.

Structural model:
```
BaNaNbN3
1.0
3.0228 -5.8120 0.0000
3.0228 5.8120 0.0000
-1.0303 0.0000 5.6660
Ba Na Nb N
2 2 2 6
direct
0.2359 0.7641 0.7500
0.7641 0.2359 0.2500
0.0712 0.9288 0.2500
0.9288 0.0712 0.7500
0.4520 0.5480 0.2500
0.5480 0.4520 0.7500
0.2420 0.3300 0.5078
0.2833 0.7167 0.2500
0.3300 0.2420 0.0078
0.6700 0.7580 0.9922
0.7167 0.2833 0.7500
0.7580 0.6700 0.4922
```

Largest 10 diffraction maxima, by angle, 5° ≤ 2θ ≤ 70°:
2theta  I_rel
16.7  46
21.1  41
30.0  68
30.4  86
30.8  34
31.6  58
33.1  100
39.8  51
48.2  25
51.7  29

---

The following is a theoretical PXRD pattern of BaNaPuN3. It was derived from a structure optimized by DFT (GGA-PBE), using copper Kα.

Structural model:
```
BaNaPuN3
1.0
2.9570 -6.2541 0.0000
2.9570 6.2541 0.0000
-0.8758 0.0000 5.8876
Ba Na Pu N
2 2 2 6
direct
0.2483 0.7517 0.7500
0.7517 0.2483 0.2500
0.0697 0.9303 0.2500
0.9303 0.0697 0.7500
0.4357 0.5643 0.2500
0.5643 0.4357 0.7500
0.2442 0.3478 0.4778
0.2710 0.7290 0.2500
0.3478 0.2442 0.9778
0.6522 0.7558 0.0222
0.7290 0.2710 0.7500
0.7558 0.6522 0.5222
```

Largest 10 diffraction maxima, by angle, 5° ≤ 2θ ≤ 70°:
2theta  I_rel
16.7  100
20.7  38
29.2  77
30.4  43
30.6  43
31.5  81
32.4  20
40.1  25
43.4  21
51.8  21

---

The following is a theoretical PXRD pattern of BaNaTaN3. It was derived from a structure optimized by DFT (GGA-PBE), using copper Kα.

Structural model:
```
BaNaTaN3
1.0
3.0225 -5.8192 0.0000
3.0225 5.8192 0.0000
-0.9882 0.0000 5.6393
Ba Na Ta N
2 2 2 6
direct
0.2352 0.7648 0.7500
0.7648 0.2352 0.2500
0.0715 0.9285 0.2500
0.9285 0.0715 0.7500
0.4522 0.5478 0.2500
0.5478 0.4522 0.7500
0.2446 0.3304 0.5065
0.2837 0.7163 0.2500
0.3304 0.2446 0.0065
0.6696 0.7554 0.9935
0.7163 0.2837 0.7500
0.7554 0.6696 0.4935
```

Largest 10 diffraction maxima, by angle, 5° ≤ 2θ ≤ 70°:
2theta  I_rel
16.7  100
21.9  31
27.4  28
30.0  61
30.4  75
30.7  23
31.7  52
33.1  80
40.1  37
51.8  26

---

The following is a theoretical PXRD pattern of BaNa2Tc2N4. It was derived from a structure optimized by DFT (GGA-PBE), using copper Kα.

Structural model:
```
BaNa2Tc2N4
1.0
5.8176 -1.7659 0.0000
5.8176 1.7659 0.0000
-4.9801 0.0000 7.7549
Ba Na Tc N
1 2 2 4
direct
0.0000 0.0000 0.0000
0.1274 0.1274 0.7062
0.8726 0.8726 0.2938
0.3421 0.3421 0.6136
0.6579 0.6579 0.3864
0.2295 0.2295 0.3473
0.4792 0.4792 0.2205
0.5208 0.5208 0.7795
0.7705 0.7705 0.6527
```

Largest 10 diffraction maxima, by angle, 5° ≤ 2θ ≤ 70°:
2theta  I_rel
15.3  100
29.1  15
30.9  17
31.2  43
32.1  29
34.7  13
35.4  26
37.5  17
48.7  15
56.4  14

---

The following is a theoretical PXRD pattern of Ba2NaTc2N6. It was derived from a structure optimized by DFT (GGA-PBE), using copper Kα.

Structural model:
```
Ba2NaTc2N6
1.0
6.1000 0.0000 0.0000
-3.0436 5.6771 0.0000
-3.0481 -1.9152 6.2112
Ba Na Tc N
2 1 2 6
direct
0.0211 0.2334 0.3089
0.9789 0.7666 0.6911
0.5000 0.5000 0.0000
0.3228 0.8438 0.3018
0.6772 0.1562 0.6982
0.0070 0.3332 0.7012
0.3308 0.0343 0.1261
0.4707 0.6650 0.2986
0.5293 0.3350 0.7014
0.6692 0.9657 0.8739
0.9930 0.6668 0.2988
```

Largest 10 diffraction maxima, by angle, 5° ≤ 2θ ≤ 70°:
2theta  I_rel
14.3  26
17.2  32
19.1  26
25.3  50
27.7  100
28.7  40
29.2  57
29.3  56
31.3  46
40.4  42

---

The following is a theoretical PXRD pattern of Ba6Na2ZnN. It was derived from a structure optimized by DFT (GGA-PBE), using copper Kα.

Structural model:
```
Ba6Na2ZnN
1.0
-4.2825 4.2825 6.5871
4.2825 -4.2825 6.5871
4.2825 4.2825 -6.5871
Ba Na Zn N
6 2 1 1
direct
0.0000 0.0000 0.0000
0.0135 0.0135 0.5538
0.0135 0.4597 0.0000
0.4597 0.0135 0.0000
0.4597 0.4597 0.4462
0.4920 0.4920 0.0000
0.4842 0.9842 0.5000
0.9842 0.4842 0.5000
0.7374 0.7374 0.0000
0.1961 0.1961 0.0000
```

Largest 10 diffraction maxima, by angle, 5° ≤ 2θ ≤ 70°:
2theta  I_rel
13.4  18
14.6  33
24.8  100
27.1  32
29.5  46
30.9  16
40.5  38
46.5  18
49.6  22
50.9  17

---

The following is a theoretical PXRD pattern of Ba5Nb2N6. It was derived from a structure optimized by DFT (GGA-PBE), using copper Kα.

Structural model:
```
Ba5Nb2N6
1.0
5.4280 -3.8401 0.0000
5.4280 3.8401 0.0000
-1.7844 0.0000 14.6100
Ba Nb N
10 4 12
direct
0.0898 0.9102 0.7500
0.1734 0.7241 0.0215
0.2759 0.8266 0.4785
0.2971 0.3818 0.2953
0.3818 0.2971 0.7953
0.6182 0.7029 0.2047
0.7029 0.6182 0.7047
0.7241 0.1734 0.5215
0.8266 0.2759 0.9785
0.9102 0.0898 0.2500
0.1430 0.4039 0.5771
0.4039 0.1430 0.0771
0.5961 0.8570 0.9229
0.8570 0.5961 0.4229
0.0393 0.2586 0.6616
0.0876 0.2958 0.4411
0.2586 0.0393 0.1616
0.2958 0.0876 0.9411
0.4115 0.4490 0.6205
0.4490 0.4115 0.1205
0.5510 0.5885 0.8795
0.5885 0.5510 0.3795
0.7042 0.9124 0.0589
0.7414 0.9607 0.8384
0.9124 0.7042 0.5589
0.9607 0.7414 0.3384
```

Largest 10 diffraction maxima, by angle, 5° ≤ 2θ ≤ 70°:
2theta  I_rel
22.3  24
26.2  75
27.4  100
28.8  76
29.6  52
31.2  57
31.3  44
36.5  25
43.4  26
44.8  27